The following is a theoretical powder diffractogram of Mn6Co5Pt. It was derived from DFT lattice parameters and positions (GGA-PBE), using a wavelength of 1.5418 Å.
Neutral-atom scattering factors, no anomalous dispersion.

Structure:
```
data_Mn6Co5Pt
_cell_length_a 4.112
_cell_length_b 5.813
_cell_length_c 12.320
_cell_angle_alpha 90.00
_cell_angle_beta 90.00
_cell_angle_gamma 90.00
_space_group_name_H-M_alt 'I m m m'
_space_group_IT_number 71
_space_group_name_Hall '-I 2 2'
loop_
_atom_site_label
_atom_site_fract_x
_atom_site_fract_y
_atom_site_fract_z
_atom_site_occupancy
Mn1 0.000 0.236 0.000 1
Mn2 0.000 0.257 0.328 1
Co1 0.000 0.000 0.168 1
Co2 0.000 0.500 0.165 1
Co3 0.000 0.500 0.500 1
Pt1 0.000 0.000 0.500 1
```

Most intense lines, 10 to 90 degrees two-theta, most intense first:
Position (°2θ)	I/Imax
44.07	100
81.05	30
64.09	15
16.86	7
26.56	6
30.77	5
30.32	5
14.38	5


The following is a theoretical powder diffractogram of Sr2Mg9Ag6. It was derived from DFT lattice parameters and positions (GGA-PBE), using a wavelength of 1.5418 Å.
Neutral-atom scattering factors, no anomalous dispersion.

Structure:
```
data_Sr2Mg9Ag6
_cell_length_a 6.0354
_cell_length_b 6.0354
_cell_length_c 13.7354
_cell_angle_alpha 90.00
_cell_angle_beta 90.00
_cell_angle_gamma 120.00
_space_group_name_H-M_alt 'P 6/m m m'
_space_group_IT_number 191
_space_group_name_Hall '-P 6 2'
loop_
_atom_site_label
_atom_site_fract_x
_atom_site_fract_y
_atom_site_fract_z
_atom_site_occupancy
Sr1 0.0000 0.0000 0.1684 1
Mg1 0.0000 0.5000 0.0000 1
Mg2 0.0000 0.5000 0.3398 1
Ag1 0.3333 0.6667 0.1707 1
Ag2 0.3333 0.6667 0.5000 1
```

Most intense lines, 10 to 90 degrees two-theta, most intense first:
Position (°2θ)	I/Imax
35.63	100
29.60	57
19.39	34
50.01	25
56.52	25
16.96	22
39.36	17
88.30	14


The following is a theoretical powder diffractogram of AcPm2VN4. It was derived from DFT lattice parameters and positions (GGA-PBE), using a wavelength of 1.5418 Å.
Neutral-atom scattering factors, no anomalous dispersion.

Structure:
```
data_AcPm2VN4
_cell_length_a 3.527
_cell_length_b 12.247
_cell_length_c 12.113
_cell_angle_alpha 90.00
_cell_angle_beta 90.00
_cell_angle_gamma 90.00
_space_group_name_H-M_alt 'C m c m'
_space_group_IT_number 63
_space_group_name_Hall '-C 2c 2'
loop_
_atom_site_label
_atom_site_fract_x
_atom_site_fract_y
_atom_site_fract_z
_atom_site_occupancy
Ac1 0.000 0.084 0.250 1
Pm1 0.000 0.369 0.042 1
V1 0.000 0.177 0.750 1
N1 0.000 0.000 0.000 1
N2 0.000 0.264 0.630 1
N3 0.000 0.411 0.250 1
```

Most intense lines, 10 to 90 degrees two-theta, most intense first:
Position (°2θ)	I/Imax
30.22	100
26.44	65
34.41	54
36.81	41
29.50	35
29.17	32
50.90	30
46.05	23


The following is a theoretical powder diffractogram of LaMnCd2. It was derived from DFT lattice parameters and positions (GGA-PBE), using a wavelength of 1.5418 Å.
Neutral-atom scattering factors, no anomalous dispersion.

Structure:
```
data_LaMnCd2
_cell_length_a 3.438
_cell_length_b 4.693
_cell_length_c 11.962
_cell_angle_alpha 90.00
_cell_angle_beta 90.00
_cell_angle_gamma 90.00
_space_group_name_H-M_alt 'A m m 2'
_space_group_IT_number 38
_space_group_name_Hall 'A 2 -2'
loop_
_atom_site_label
_atom_site_fract_x
_atom_site_fract_y
_atom_site_fract_z
_atom_site_occupancy
La1 0.000 0.000 0.000 1
Mn1 0.500 0.000 0.465 1
Cd1 0.000 0.000 0.284 1
Cd2 0.500 0.000 0.699 1
```

Most intense lines, 10 to 90 degrees two-theta, most intense first:
Position (°2θ)	I/Imax
33.16	100
29.39	52
39.58	44
38.36	35
29.88	32
39.96	27
49.38	21
56.59	19


The following is a theoretical powder diffractogram of ErAl3Ag3. It was derived from DFT lattice parameters and positions (GGA-PBE), using a wavelength of 1.5418 Å.
Neutral-atom scattering factors, no anomalous dispersion.

Structure:
```
data_ErAl3Ag3
_cell_length_a 8.0272
_cell_length_b 8.0272
_cell_length_c 15.7216
_cell_angle_alpha 90.00
_cell_angle_beta 90.00
_cell_angle_gamma 120.00
_space_group_name_H-M_alt 'R -3'
_space_group_IT_number 148
_space_group_name_Hall '-R 3'
loop_
_atom_site_label
_atom_site_fract_x
_atom_site_fract_y
_atom_site_fract_z
_atom_site_occupancy
Er1 0.0000 0.0000 0.1772 1
Al1 0.0016 0.6613 0.7110 1
Ag1 0.0053 0.7100 0.5520 1
```

Most intense lines, 10 to 90 degrees two-theta, most intense first:
Position (°2θ)	I/Imax
28.02	100
38.86	98
41.14	93
16.92	83
42.66	38
57.88	25
26.26	21
36.04	21


The following is a theoretical powder diffractogram of Pu2InHg3. It was derived from DFT lattice parameters and positions (GGA-PBE), using a wavelength of 1.5418 Å.
Neutral-atom scattering factors, no anomalous dispersion.

Structure:
```
data_Pu2InHg3
_cell_length_a 6.1361
_cell_length_b 6.1361
_cell_length_c 9.2727
_cell_angle_alpha 90.00
_cell_angle_beta 90.00
_cell_angle_gamma 120.00
_space_group_name_H-M_alt 'P 63/m m c'
_space_group_IT_number 194
_space_group_name_Hall '-P 6c 2c'
loop_
_atom_site_label
_atom_site_fract_x
_atom_site_fract_y
_atom_site_fract_z
_atom_site_occupancy
Pu1 0.3333 0.6667 0.0627 1
In1 0.0000 0.0000 0.0000 1
Hg1 0.1734 0.3468 0.7500 1
```

Most intense lines, 10 to 90 degrees two-theta, most intense first:
Position (°2θ)	I/Imax
35.10	100
33.54	42
60.92	19
54.48	18
60.34	17
29.11	14
55.54	13
33.73	11